Diffraction record for TlIn2Hg9. The powder diffraction line list is computed, not measured: it uses the GGA-PBE geometry in Alexandria and Cu Kα X-rays.
Intensities are scaled so that the largest is 100.

Structural model:
a = 10.4998 Å, b = 10.4998 Å, c = 3.4466 Å
α = 90.00°, β = 90.00°, γ = 120.00°
Fractional positions:
Tl: 0.0000 0.0000 0.0000
In: 0.3333 0.6667 0.0000
In: 0.6667 0.3333 0.0000
Hg: 0.0000 0.5000 0.0000
Hg: 0.1735 0.3470 0.5000
Hg: 0.1735 0.8265 0.5000
Hg: 0.3470 0.1735 0.5000
Hg: 0.5000 0.0000 0.0000
Hg: 0.5000 0.5000 0.0000
Hg: 0.6530 0.8265 0.5000
Hg: 0.8265 0.1735 0.5000
Hg: 0.8265 0.6530 0.5000

Largest 10 diffraction maxima, sorted by position, 2θ = 10–90°:
2θ = 31.04°, d 2.881, I = 21; 2θ = 32.60°, d 2.747, I = 76; 2θ = 34.16°, d 2.625, I = 100; 2θ = 36.94°, d 2.434, I = 13; 2θ = 39.60°, d 2.276, I = 11; 2θ = 47.94°, d 1.898, I = 26; 2θ = 60.17°, d 1.538, I = 26; 2θ = 61.15°, d 1.516, I = 18; 2θ = 64.71°, d 1.441, I = 32; 2θ = 85.29°, d 1.138, I = 17

Diffraction record for YAl2Au10. The powder diffraction line list is computed, not measured: it uses the GGA-PBE geometry in Alexandria and Cu Kα X-rays.
Intensities are scaled so that the largest is 100.

Structural model:
a = 9.3846 Å, b = 7.2770 Å, c = 7.1350 Å
α = 81.25°, β = 50.03°, γ = 48.72°
Fractional positions:
Y: 0.0000 0.0000 0.0000
Al: 0.0000 0.5000 0.0000
Al: 0.5000 0.0000 0.5000
Au: 0.0000 0.0000 0.5000
Au: 0.0162 0.3237 0.6763
Au: 0.2813 0.4923 0.5077
Au: 0.3237 0.0162 0.9838
Au: 0.4923 0.2813 0.7187
Au: 0.5000 0.5000 0.0000
Au: 0.5077 0.7187 0.2813
Au: 0.6763 0.9838 0.0162
Au: 0.7187 0.5077 0.4923
Au: 0.9838 0.6763 0.3237

Largest 10 diffraction maxima, sorted by position, 2θ = 10–90°:
2θ = 30.34°, d 2.946, I = 24; 2θ = 31.85°, d 2.810, I = 39; 2θ = 32.77°, d 2.733, I = 45; 2θ = 37.30°, d 2.411, I = 35; 2θ = 37.76°, d 2.382, I = 56; 2θ = 38.40°, d 2.344, I = 100; 2θ = 41.93°, d 2.155, I = 52; 2θ = 42.36°, d 2.134, I = 65; 2θ = 42.68°, d 2.119, I = 32; 2θ = 68.69°, d 1.366, I = 25

Diffraction record for Pr2Si2BRu2. The powder diffraction line list is computed, not measured: it uses the GGA-PBE geometry in Alexandria and Cu Kα X-rays.
Intensities are scaled so that the largest is 100.

Structural model:
a = 6.0032 Å, b = 6.0032 Å, c = 7.2293 Å
α = 126.59°, β = 126.59°, γ = 41.39°
Fractional positions:
Pr: 0.0639 0.0639 0.3226
Pr: 0.9361 0.9361 0.6774
Si: 0.3310 0.3310 0.8919
Si: 0.6690 0.6690 0.1081
B: 0.5000 0.5000 0.5000
Ru: 0.2913 0.2913 0.1830
Ru: 0.7087 0.7087 0.8170

Largest 10 diffraction maxima, sorted by position, 2θ = 10–90°:
2θ = 23.35°, d 3.810, I = 34; 2θ = 31.96°, d 2.800, I = 87; 2θ = 32.12°, d 2.787, I = 39; 2θ = 33.34°, d 2.688, I = 24; 2θ = 33.54°, d 2.672, I = 39; 2θ = 34.26°, d 2.617, I = 100; 2θ = 37.70°, d 2.386, I = 30; 2θ = 38.70°, d 2.327, I = 26; 2θ = 42.62°, d 2.121, I = 37; 2θ = 61.86°, d 1.500, I = 21